Starting from a DFT-relaxed cell (PBE, OQMD), the X-ray diffraction stick pattern of Er4Al12Pd was computed for Cu Kα (weighted mean of Kα1 and Kα2).
Kinematic intensities with the Lorentz-polarization factor, no thermal factor.

Unit cell a=8.6130 b=8.6130 c=8.6130 alpha=90.00 beta=90.00 gamma=90.00
Space group Im-3m (No. 229)
Inequivalent atoms, fractional coordinates:
Er1 0.2500 0.2500 0.2500 x8
Al1 0.0000 0.0000 0.2927 x12
Al2 0.0000 0.2500 0.5000 x12
Pd1 0.0000 0.0000 0.0000 x2

Largest 6 diffraction maxima, most intense first, 10° ≤ 2θ ≤ 90°:
| 2theta | I (rel.) | index |
| --- | --- | --- |
| 29.33 | 100 | 2 2 0 |
| 36.13 | 62 | 2 2 2 |
| 20.62 | 48 | 2 0 0 |
| 41.96 | 47 | 4 0 0 |
| 52.02 | 38 | 4 2 2 |
| 60.84 | 30 | 4 4 0 |